# 1
This entry pairs a crystal structure of CsDy5S8 with its calculated powder diffractogram. Radiation: λ = 1.5418 Å (Cu Kα). Structure: a structure optimized by DFT (GGA-PBE).
Lines closer than 0.1° are merged.

Cell and atoms:
```
CsDy5S8
1.0
10.232 -2.004 0.000
10.232 2.004 0.000
-2.459 0.000 9.498
Cs Dy S
1 5 8
Direct
0.000 0.000 0.000
0.156 0.156 0.449
0.203 0.203 0.839
0.500 0.500 0.500
0.797 0.797 0.161
0.844 0.844 0.551
0.079 0.079 0.642
0.271 0.271 0.355
0.329 0.329 0.011
0.418 0.418 0.685
0.582 0.582 0.315
0.671 0.671 0.989
0.729 0.729 0.645
0.921 0.921 0.358
```

Top 10 peaks for 2θ from 10° to 90°, in order of falling intensity:
two_theta  I (rel.)
28.81  100.0
36.04  81.7
45.89  79.4
22.69  74.8
26.49  72.4
17.99  69.4
26.01  64.7
41.26  57.4
45.27  48.6
18.68  47.3

# 2
This entry pairs a crystal structure of Cs3DyS3 with its calculated powder diffractogram. Radiation: λ = 1.5418 Å (Cu Kα). Structure: a structure optimized by DFT (GGA-PBE).
Lines closer than 0.1° are merged.

Cell and atoms:
```
Cs3DyS3
1.0
4.757 -7.343 0.000
4.757 7.343 0.000
-1.733 0.000 8.392
Cs Dy S
6 2 6
Direct
0.185 0.815 0.000
0.254 0.746 0.500
0.376 0.376 0.140
0.624 0.624 0.860
0.746 0.254 0.500
0.815 0.185 0.000
0.174 0.174 0.642
0.826 0.826 0.358
0.096 0.096 0.326
0.162 0.447 0.771
0.447 0.162 0.771
0.553 0.838 0.229
0.838 0.553 0.229
0.904 0.904 0.674
```

Top 10 peaks for 2θ from 10° to 90°, in order of falling intensity:
two_theta  I (rel.)
22.22  100.0
22.60  73.6
23.98  63.4
29.21  62.2
31.03  60.8
24.43  60.3
24.24  55.9
31.49  55.4
42.22  47.7
26.62  46.9

# 3
This entry pairs a crystal structure of CsDySiS4 with its calculated powder diffractogram. Radiation: λ = 1.5418 Å (Cu Kα). Structure: a structure optimized by DFT (GGA-PBE).
Lines closer than 0.1° are merged.

Cell and atoms:
```
CsDySiS4
1.0
6.425 0.000 0.000
0.000 6.734 0.000
0.000 0.000 17.989
Cs Dy Si S
4 4 4 16
Direct
0.017 0.006 0.468
0.483 0.994 0.968
0.517 0.494 0.532
0.983 0.506 0.032
0.209 0.023 0.728
0.291 0.977 0.228
0.709 0.477 0.272
0.791 0.523 0.772
0.209 0.517 0.330
0.291 0.483 0.830
0.709 0.983 0.670
0.791 0.017 0.170
0.053 0.012 0.099
0.067 0.254 0.852
0.105 0.578 0.220
0.105 0.747 0.841
0.395 0.253 0.341
0.395 0.422 0.720
0.433 0.746 0.352
0.447 0.988 0.599
0.553 0.488 0.901
0.567 0.246 0.148
0.605 0.753 0.159
0.605 0.922 0.780
0.895 0.078 0.280
0.895 0.247 0.659
0.933 0.754 0.648
0.947 0.512 0.401
```

Top 10 peaks for 2θ from 10° to 90°, in order of falling intensity:
two_theta  I (rel.)
19.73  100.0
40.07  67.7
29.53  66.4
26.47  59.2
19.09  48.5
23.79  45.8
33.24  44.8
43.42  42.6
21.52  42.2
27.60  41.3

# 4
This entry pairs a crystal structure of CsDyTe3 with its calculated powder diffractogram. Radiation: λ = 1.5418 Å (Cu Kα). Structure: a structure optimized by DFT (GGA-PBE).
Lines closer than 0.1° are merged.

Cell and atoms:
```
CsDyTe3
1.0
17.027 0.000 0.000
0.000 6.735 0.000
0.000 0.000 7.177
Cs Dy Te
4 4 12
Direct
0.188 0.030 0.250
0.188 0.470 0.750
0.812 0.530 0.250
0.812 0.970 0.750
0.422 0.750 0.000
0.422 0.750 0.500
0.578 0.250 0.000
0.578 0.250 0.500
0.005 0.750 0.000
0.005 0.750 0.500
0.306 0.546 0.250
0.306 0.954 0.750
0.437 0.112 0.250
0.437 0.388 0.750
0.563 0.612 0.250
0.563 0.888 0.750
0.694 0.046 0.250
0.694 0.454 0.750
0.995 0.250 0.000
0.995 0.250 0.500
```

Top 10 peaks for 2θ from 10° to 90°, in order of falling intensity:
two_theta  I (rel.)
27.73  100.0
36.59  64.7
28.50  53.7
26.96  45.7
45.53  40.9
32.37  37.0
35.32  34.1
10.39  26.1
29.30  22.3
26.17  21.8

# 5
This entry pairs a crystal structure of Cs3DyTm3Te8 with its calculated powder diffractogram. Radiation: λ = 1.5418 Å (Cu Kα). Structure: a structure optimized by DFT (GGA-PBE).
Lines closer than 0.1° are merged.

Cell and atoms:
```
Cs3DyTm3Te8
1.0
7.602 -4.387 0.000
7.602 4.387 0.000
-5.074 0.000 9.208
Cs Dy Tm Te
3 1 3 8
Direct
0.000 0.000 0.000
0.000 0.500 0.000
0.500 0.000 0.000
0.000 0.000 0.500
0.000 0.500 0.500
0.500 0.000 0.500
0.500 0.500 0.500
0.233 0.233 0.690
0.233 0.725 0.690
0.270 0.270 0.312
0.275 0.767 0.310
0.725 0.233 0.690
0.730 0.730 0.688
0.767 0.275 0.310
0.767 0.767 0.310
```

Top 10 peaks for 2θ from 10° to 90°, in order of falling intensity:
two_theta  I (rel.)
26.78  100.0
41.15  35.7
35.11  33.0
49.77  18.1
32.72  17.6
66.49  15.1
43.18  11.8
55.18  9.2
71.09  8.4
75.62  8.3

# 6
This entry pairs a crystal structure of CsErF4 with its calculated powder diffractogram. Radiation: λ = 1.5418 Å (Cu Kα). Structure: a structure optimized by DFT (GGA-PBE).
Lines closer than 0.1° are merged.

Cell and atoms:
```
CsErF4
1.0
5.934 0.000 0.000
0.000 5.934 0.000
0.000 0.000 7.206
Cs Er F
2 2 8
Direct
0.000 0.500 0.000
0.500 0.000 0.000
0.000 0.000 0.500
0.500 0.500 0.500
0.000 0.000 0.204
0.000 0.000 0.796
0.182 0.318 0.500
0.318 0.818 0.500
0.500 0.500 0.204
0.500 0.500 0.796
0.682 0.182 0.500
0.818 0.682 0.500
```

Top 10 peaks for 2θ from 10° to 90°, in order of falling intensity:
two_theta  I (rel.)
24.55  100.0
50.26  48.1
30.12  37.3
24.71  29.5
43.41  28.8
39.34  21.3
62.84  21.2
43.11  17.8
68.35  10.2
60.08  9.0

# 7
This entry pairs a crystal structure of Cs3Er2F9 with its calculated powder diffractogram. Radiation: λ = 1.5418 Å (Cu Kα). Structure: a structure optimized by DFT (GGA-PBE).
Lines closer than 0.1° are merged.

Cell and atoms:
```
Cs3Er2F9
1.0
5.842 3.373 5.057
-5.842 3.373 5.057
0.000 -6.746 5.057
Cs Er F
6 4 18
Direct
0.087 0.750 0.413
0.250 0.587 0.913
0.413 0.087 0.750
0.587 0.913 0.250
0.750 0.413 0.087
0.913 0.250 0.587
0.141 0.141 0.141
0.359 0.359 0.359
0.641 0.641 0.641
0.859 0.859 0.859
0.074 0.921 0.746
0.079 0.254 0.926
0.117 0.383 0.250
0.246 0.421 0.574
0.250 0.117 0.383
0.254 0.926 0.079
0.383 0.250 0.117
0.421 0.574 0.246
0.426 0.754 0.579
0.574 0.246 0.421
0.579 0.426 0.754
0.617 0.750 0.883
0.746 0.074 0.921
0.750 0.883 0.617
0.754 0.579 0.426
0.883 0.617 0.750
0.921 0.746 0.074
0.926 0.079 0.254
```

Top 10 peaks for 2θ from 10° to 90°, in order of falling intensity:
two_theta  I (rel.)
26.42  100.0
23.26  53.4
35.49  53.1
15.16  28.1
25.07  23.9
54.40  21.7
46.64  20.8
33.27  19.4
47.56  19.2
38.81  18.8

# 8
This entry pairs a crystal structure of Cs2LiErF6 with its calculated powder diffractogram. Radiation: λ = 1.5418 Å (Cu Kα). Structure: a structure optimized by DFT (GGA-PBE).
Lines closer than 0.1° are merged.

Cell and atoms:
```
Cs2LiErF6
1.0
-3.149 3.149 4.449
3.149 -3.149 4.449
3.149 3.149 -4.449
Cs Li Er F
2 1 1 6
Direct
0.250 0.750 0.500
0.750 0.250 0.500
0.000 0.000 0.000
0.500 0.500 0.000
0.255 0.255 0.000
0.255 0.255 0.510
0.255 0.745 0.000
0.745 0.255 0.000
0.745 0.745 0.000
0.745 0.745 0.490
```

Top 10 peaks for 2θ from 10° to 90°, in order of falling intensity:
two_theta  I (rel.)
28.35  100.0
50.19  41.8
17.25  38.5
40.52  37.2
58.65  23.7
80.77  22.1
33.37  21.7
66.40  18.7
34.91  11.0
44.34  9.4

# 9
This entry pairs a crystal structure of CsErMgF6 with its calculated powder diffractogram. Radiation: λ = 1.5418 Å (Cu Kα). Structure: a structure optimized by DFT (GGA-PBE).
Lines closer than 0.1° are merged.

Cell and atoms:
```
CsErMgF6
1.0
-3.809 4.024 5.440
3.809 -4.024 5.440
3.809 4.024 -5.440
Cs Er Mg F
2 2 2 12
Direct
0.329 0.079 0.250
0.671 0.921 0.750
0.000 0.500 0.500
0.500 0.500 0.000
0.000 0.000 0.500
0.000 0.500 0.000
0.044 0.794 0.250
0.049 0.410 0.218
0.049 0.831 0.639
0.308 0.169 0.718
0.308 0.590 0.139
0.332 0.582 0.750
0.668 0.418 0.250
0.692 0.410 0.861
0.692 0.831 0.282
0.951 0.169 0.361
0.951 0.590 0.782
0.956 0.206 0.750
```

Top 10 peaks for 2θ from 10° to 90°, in order of falling intensity:
two_theta  I (rel.)
26.36  100.0
16.30  43.9
28.61  33.6
27.21  26.7
23.36  24.8
46.85  21.8
42.93  21.1
14.19  16.8
26.97  16.4
55.61  14.9